For CaGa2P2, the PBE geometry in the Materials Project gives the theoretical X-ray diffraction stick pattern in this record (a wavelength of 1.5418 Å).

The 6 most intense peaks (10° ≤ 2θ ≤ 90°), most intense first:
d = 1.936 Å, 2θ = 46.9°, I 100, (1 1 0)
d = 1.931 Å, 2θ = 47.1°, I 99, (1 0 7)
d = 3.287 Å, 2θ = 27.1°, I 88, (1 0 1)
d = 3.108 Å, 2θ = 28.7°, I 87, (1 0 2)
d = 2.604 Å, 2θ = 34.4°, I 71, (1 0 4)
d = 2.865 Å, 2θ = 31.2°, I 44, (1 0 3)

Structural model:
Cell lengths 3.8726, 3.8726, 16.5312 Å; angles 90.00, 90.00, 120.00 degrees
Space group P6_3/mmc (No. 194)
One atom of each set of equivalent atoms:
Ca 0.0000 0.0000 0.0000 x2
Ga 0.3333 0.6667 0.1753 x4
P 0.3333 0.6667 0.6148 x4